The following is a simulated powder XRD pattern of CuTeAs2. It was derived from a crystal structure in Alexandria, relaxed with PBE, using λ = 1.5418 Å (Cu Kα).

Structural model:
```
data_CuTeAs2
_cell_length_a 6.0485
_cell_length_b 6.0485
_cell_length_c 4.0785
_cell_angle_alpha 108.18
_cell_angle_beta 108.18
_cell_angle_gamma 36.76
_symmetry_space_group_name_H-M 'P 1'
_symmetry_Int_Tables_number 1
loop_
_symmetry_equiv_pos_as_xyz
'x,y,z'
loop_
_atom_site_label
_atom_site_type_symbol
_atom_site_fract_x
_atom_site_fract_y
_atom_site_fract_z
Cu1 Cu 0.0000 0.0000 0.0000
Te1 Te 0.5000 0.5000 0.5000
As1 As 0.2311 0.2311 0.1791
As2 As 0.7689 0.7689 0.8209
```

Most intense lines, 5 to 70 degrees two-theta, in order of rising 2θ:
2θ/deg  d_spacing  I_rel
32.14  2.785  100
33.05  2.710  44
44.44  2.038  17
46.29  1.961  28
47.24  1.924  36
47.69  1.907  17

---

The following is a simulated powder XRD pattern of TlCuTe3As. It was derived from a crystal structure in Alexandria, relaxed with PBE, using λ = 1.5418 Å (Cu Kα).

Structural model:
```
data_TlCuTe3As
_cell_length_a 9.6088
_cell_length_b 4.1005
_cell_length_c 9.6639
_cell_angle_alpha 90.00
_cell_angle_beta 108.36
_cell_angle_gamma 90.00
_symmetry_space_group_name_H-M 'P 1'
_symmetry_Int_Tables_number 1
loop_
_symmetry_equiv_pos_as_xyz
'x,y,z'
loop_
_atom_site_label
_atom_site_type_symbol
_atom_site_fract_x
_atom_site_fract_y
_atom_site_fract_z
Tl1 Tl 0.1802 0.2500 0.2281
Tl2 Tl 0.8198 0.7500 0.7719
Cu1 Cu 0.0678 0.2500 0.5719
Cu2 Cu 0.9322 0.7500 0.4281
Te1 Te 0.1245 0.2500 0.8578
Te2 Te 0.2204 0.7500 0.5295
Te3 Te 0.4577 0.7500 0.1645
Te4 Te 0.5423 0.2500 0.8355
Te5 Te 0.7796 0.2500 0.4705
Te6 Te 0.8755 0.7500 0.1422
As1 As 0.3409 0.7500 0.8642
As2 As 0.6591 0.2500 0.1358
```

Most intense lines, 5 to 70 degrees two-theta, in order of rising 2θ:
2θ/deg  d_spacing  I_rel
9.69  9.126  21
28.83  3.097  100
29.26  3.053  98
37.53  2.396  22
44.16  2.051  44
46.32  1.960  24

---

The following is a simulated powder XRD pattern of TlCu6As4. It was derived from a crystal structure in Alexandria, relaxed with PBE, using λ = 1.5418 Å (Cu Kα).

Structural model:
```
data_TlCu6As4
_cell_length_a 11.1319
_cell_length_b 11.1319
_cell_length_c 11.1319
_cell_angle_alpha 158.18
_cell_angle_beta 158.18
_cell_angle_gamma 31.05
_symmetry_space_group_name_H-M 'P 1'
_symmetry_Int_Tables_number 1
loop_
_symmetry_equiv_pos_as_xyz
'x,y,z'
loop_
_atom_site_label
_atom_site_type_symbol
_atom_site_fract_x
_atom_site_fract_y
_atom_site_fract_z
Tl1 Tl 0.0000 0.0000 0.0000
Cu1 Cu 0.1216 0.6216 0.5000
Cu2 Cu 0.2500 0.7500 0.5000
Cu3 Cu 0.3784 0.8784 0.5000
Cu4 Cu 0.6216 0.1216 0.5000
Cu5 Cu 0.7500 0.2500 0.5000
Cu6 Cu 0.8784 0.3784 0.5000
As1 As 0.1873 0.1873 0.0000
As2 As 0.4379 0.4379 0.0000
As3 As 0.5621 0.5621 0.0000
As4 As 0.8127 0.8127 0.0000
```

Most intense lines, 5 to 70 degrees two-theta, in order of rising 2θ:
2θ/deg  d_spacing  I_rel
29.72  3.006  100
31.16  2.871  59
34.44  2.604  49
39.37  2.289  42
42.93  2.107  98
45.51  1.993  51

---

The following is a simulated powder XRD pattern of Zr3CuAs2. It was derived from a crystal structure in Alexandria, relaxed with PBE, using λ = 1.5418 Å (Cu Kα).

Structural model:
```
data_Zr3CuAs2
_cell_length_a 10.9336
_cell_length_b 3.8555
_cell_length_c 10.5162
_cell_angle_alpha 90.00
_cell_angle_beta 90.00
_cell_angle_gamma 90.00
_symmetry_space_group_name_H-M 'P 1'
_symmetry_Int_Tables_number 1
loop_
_symmetry_equiv_pos_as_xyz
'x,y,z'
loop_
_atom_site_label
_atom_site_type_symbol
_atom_site_fract_x
_atom_site_fract_y
_atom_site_fract_z
Zr1 Zr 0.0467 0.2500 0.1198
Zr2 Zr 0.1233 0.7500 0.5692
Zr3 Zr 0.2104 0.2500 0.7902
Zr4 Zr 0.2896 0.7500 0.2902
Zr5 Zr 0.3767 0.2500 0.0692
Zr6 Zr 0.4533 0.7500 0.6198
Zr7 Zr 0.5467 0.2500 0.3802
Zr8 Zr 0.6233 0.7500 0.9308
Zr9 Zr 0.7104 0.2500 0.7098
Zr10 Zr 0.7896 0.7500 0.2098
Zr11 Zr 0.8767 0.2500 0.4308
Zr12 Zr 0.9533 0.7500 0.8802
Cu1 Cu 0.1293 0.2500 0.3778
Cu2 Cu 0.3707 0.7500 0.8778
Cu3 Cu 0.6293 0.2500 0.1222
Cu4 Cu 0.8707 0.7500 0.6222
As1 As 0.0220 0.7500 0.3105
As2 As 0.1899 0.7500 0.0041
As3 As 0.3101 0.2500 0.5041
As4 As 0.4780 0.2500 0.8105
As5 As 0.5220 0.7500 0.1895
As6 As 0.6899 0.7500 0.4959
As7 As 0.8101 0.2500 0.9959
As8 As 0.9780 0.2500 0.6895
```

Most intense lines, 5 to 70 degrees two-theta, in order of rising 2θ:
2θ/deg  d_spacing  I_rel
33.15  2.703  34
34.58  2.594  84
38.03  2.366  100
41.39  2.181  32
47.14  1.928  46
50.07  1.822  32

---

The following is a simulated powder XRD pattern of Zr2CuAs4. It was derived from a crystal structure in Alexandria, relaxed with PBE, using λ = 1.5418 Å (Cu Kα).

Structural model:
```
data_Zr2CuAs4
_cell_length_a 3.7876
_cell_length_b 3.7876
_cell_length_c 9.2200
_cell_angle_alpha 90.00
_cell_angle_beta 90.00
_cell_angle_gamma 90.00
_symmetry_space_group_name_H-M 'P 1'
_symmetry_Int_Tables_number 1
loop_
_symmetry_equiv_pos_as_xyz
'x,y,z'
loop_
_atom_site_label
_atom_site_type_symbol
_atom_site_fract_x
_atom_site_fract_y
_atom_site_fract_z
Zr1 Zr 0.0000 0.5000 0.2332
Zr2 Zr 0.5000 0.0000 0.7668
Cu1 Cu 0.0000 0.0000 0.5000
As1 As 0.0000 0.0000 0.0000
As2 As 0.0000 0.5000 0.6625
As3 As 0.5000 0.0000 0.3375
As4 As 0.5000 0.5000 0.0000
```

Most intense lines, 5 to 70 degrees two-theta, in order of rising 2θ:
2θ/deg  d_spacing  I_rel
30.55  2.927  31
34.88  2.572  13
37.69  2.387  20
38.89  2.316  100
48.04  1.894  38
55.42  1.658  15

---

The following is a simulated powder XRD pattern of DyEr5As6. It was derived from a crystal structure in Alexandria, relaxed with PBE, using λ = 1.5418 Å (Cu Kα).

Structural model:
```
data_DyEr5As6
_cell_length_a 7.0822
_cell_length_b 7.0822
_cell_length_c 7.0802
_cell_angle_alpha 99.60
_cell_angle_beta 99.60
_cell_angle_gamma 119.98
_symmetry_space_group_name_H-M 'P 1'
_symmetry_Int_Tables_number 1
loop_
_symmetry_equiv_pos_as_xyz
'x,y,z'
loop_
_atom_site_label
_atom_site_type_symbol
_atom_site_fract_x
_atom_site_fract_y
_atom_site_fract_z
Dy1 Dy 0.0000 0.0000 0.0000
Er1 Er 0.1663 0.8337 0.5000
Er2 Er 0.3332 0.6668 0.0000
Er3 Er 0.5000 0.5000 0.5000
Er4 Er 0.6668 0.3332 0.0000
Er5 Er 0.8337 0.1663 0.5000
As1 As 0.0836 0.4182 0.2509
As2 As 0.2511 0.2511 0.7494
As3 As 0.4182 0.0836 0.2509
As4 As 0.5818 0.9164 0.7491
As5 As 0.7489 0.7489 0.2506
As6 As 0.9164 0.5818 0.7491
```

Most intense lines, 5 to 70 degrees two-theta, in order of rising 2θ:
2θ/deg  d_spacing  I_rel
26.70  3.338  25
30.93  2.891  100
44.31  2.044  74
52.49  1.743  12
55.01  1.669  26
64.46  1.446  12

---

The following is a simulated powder XRD pattern of Pm2DyErAs4. It was derived from a crystal structure in Alexandria, relaxed with PBE, using λ = 1.5418 Å (Cu Kα).

Structural model:
```
data_Pm2DyErAs4
_cell_length_a 7.2187
_cell_length_b 4.1727
_cell_length_c 7.2233
_cell_angle_alpha 90.00
_cell_angle_beta 109.48
_cell_angle_gamma 90.00
_symmetry_space_group_name_H-M 'P 1'
_symmetry_Int_Tables_number 1
loop_
_symmetry_equiv_pos_as_xyz
'x,y,z'
loop_
_atom_site_label
_atom_site_type_symbol
_atom_site_fract_x
_atom_site_fract_y
_atom_site_fract_z
Pm1 Pm 0.0000 0.0000 0.0000
Pm2 Pm 0.0000 0.5000 0.5000
Dy1 Dy 0.5000 0.0000 0.5000
Er1 Er 0.5000 0.5000 0.0000
As1 As 0.2581 0.5000 0.2517
As2 As 0.2589 0.0000 0.7540
As3 As 0.7411 0.0000 0.2460
As4 As 0.7419 0.5000 0.7483
```

Most intense lines, 5 to 70 degrees two-theta, in order of rising 2θ:
2θ/deg  d_spacing  I_rel
26.17  3.405  21
30.31  2.949  100
43.40  2.085  75
51.39  1.778  11
53.85  1.702  26
63.05  1.474  12

---

The following is a simulated powder XRD pattern of Pr2Dy3ErAs6. It was derived from a crystal structure in Alexandria, relaxed with PBE, using λ = 1.5418 Å (Cu Kα).

Structural model:
```
data_Pr2Dy3ErAs6
_cell_length_a 9.3395
_cell_length_b 9.3395
_cell_length_c 8.3545
_cell_angle_alpha 102.92
_cell_angle_beta 102.92
_cell_angle_gamma 25.86
_symmetry_space_group_name_H-M 'P 1'
_symmetry_Int_Tables_number 1
loop_
_symmetry_equiv_pos_as_xyz
'x,y,z'
loop_
_atom_site_label
_atom_site_type_symbol
_atom_site_fract_x
_atom_site_fract_y
_atom_site_fract_z
Pr1 Pr 0.1654 0.1654 0.3315
Pr2 Pr 0.8346 0.8346 0.6685
Dy1 Dy 0.1673 0.1673 0.8342
Dy2 Dy 0.5000 0.5000 0.5000
Dy3 Dy 0.8327 0.8327 0.1658
Er1 Er 0.5000 0.5000 0.0000
As1 As 0.0032 0.0032 0.7536
As2 As 0.3344 0.3344 0.9254
As3 As 0.3358 0.3358 0.4103
As4 As 0.6642 0.6642 0.5897
As5 As 0.6656 0.6656 0.0746
As6 As 0.9968 0.9968 0.2464
```

Most intense lines, 5 to 70 degrees two-theta, in order of rising 2θ:
2θ/deg  d_spacing  I_rel
26.12  3.411  21
30.25  2.954  100
43.31  2.089  75
51.28  1.782  11
53.74  1.706  26
62.92  1.477  12